# Ho2Ga9Rh3
Simulated powder X-ray diffraction pattern, λ = 1.5418 Å (Cu Kα). Input: a crystal structure in Alexandria, relaxed with GGA-PBE.

Most intense lines, 10 to 80 degrees two-theta, by intensity:
2θ (°), Rel. int., (hkl)
37.01, 100, 3 1 3
41.35, 58, 3 3 0
41.51, 28, 6 0 0
30.21, 22, 3 1 2
37.82, 18, 0 0 4
37.58, 16, 4 2 1
63.63, 14, 3 1 6
45.04, 13, 0 2 4
72.49, 11, 3 5 3
72.60, 11, 6 4 3

Structural model:
abc: 13.051 7.573 9.516
angles: 90.00 90.00 90.00
Space group Cmcm (No. 63)
Unique sites:
Ho: 0.164 0.166 0.250 [8 per cell]
Ga: 0.000 0.126 0.750 [4 per cell]
Ga: 0.000 0.333 0.066 [8 per cell]
Ga: 0.105 0.443 0.750 [8 per cell]
Ga: 0.167 0.168 0.580 [16 per cell]
Rh: 0.000 0.000 0.000 [4 per cell]
Rh: 0.172 0.500 0.000 [8 per cell]

---

# Ho2Ga4Rh3
Simulated powder X-ray diffraction pattern, λ = 1.5418 Å (Cu Kα). Input: a crystal structure in Alexandria, relaxed with GGA-PBE.

Most intense lines, 10 to 80 degrees two-theta, by intensity:
2θ (°), Rel. int., (hkl)
39.28, 100, 1 3 3
37.97, 51, 0 4 0
40.57, 49, 1 1 5
43.86, 34, 2 0 4
40.71, 33, 2 2 2
33.49, 30, 1 3 1
71.98, 29, 2 2 8
28.39, 28, 1 1 3
14.05, 28, 0 0 2
32.78, 27, 2 0 0

Structural model:
abc: 5.464 9.492 12.603
angles: 90.00 90.00 90.00
Space group Fmmm (No. 69)
Unique sites:
Ho: 0.000 0.000 0.126 [8 per cell]
Ga: 0.000 0.169 0.338 [16 per cell]
Rh: 0.000 0.000 0.500 [4 per cell]
Rh: 0.250 0.250 0.000 [8 per cell]

---

# Ho3GaRh2
Simulated powder X-ray diffraction pattern, λ = 1.5418 Å (Cu Kα). Input: a crystal structure in Alexandria, relaxed with GGA-PBE.

Most intense lines, 10 to 80 degrees two-theta, by intensity:
2θ (°), Rel. int., (hkl)
36.66, 100, 1 1 0
66.00, 34, 2 1 3
52.81, 17, 2 0 0
77.94, 10, 2 2 0
25.69, 8, 1 0 0
59.63, 3, 2 1 0
45.30, 2, 1 1 3
43.52, 2, 1 0 4
17.06, 1, 0 0 2
51.23, 1, 1 0 5

Structural model:
abc: 3.468 3.468 10.396
angles: 90.00 90.00 90.00
Space group P4/mmm (No. 123)
Unique sites:
Ho: 0.000 0.000 0.000 [1 per cell]
Ho: 0.000 0.000 0.320 [2 per cell]
Ga: 0.500 0.500 0.500 [1 per cell]
Rh: 0.500 0.500 0.165 [2 per cell]

---

# Ho3Ga2Rh5
Simulated powder X-ray diffraction pattern, λ = 1.5418 Å (Cu Kα). Input: a crystal structure in Alexandria, relaxed with GGA-PBE.

Most intense lines, 10 to 80 degrees two-theta, by intensity:
2θ (°), Rel. int., (hkl)
37.92, 100, 3 1 1
37.09, 44, 4 1 0
41.13, 28, 3 2 1
31.96, 27, 2 1 1
35.64, 25, 2 2 1
40.36, 23, 4 2 0
50.84, 20, 0 0 2
64.58, 17, 4 1 2
61.35, 11, 6 0 1
65.16, 11, 5 4 1

Structural model:
abc: 9.995 9.995 3.592
angles: 90.00 90.00 90.00
Space group P4/mbm (No. 127)
Unique sites:
Ho: 0.000 0.000 0.000 [2 per cell]
Ho: 0.173 0.327 0.000 [4 per cell]
Ga: 0.123 0.623 0.000 [4 per cell]
Rh: 0.000 0.500 0.500 [2 per cell]
Rh: 0.071 0.788 0.500 [8 per cell]

---

# Ho3Ga6Rh5
Simulated powder X-ray diffraction pattern, λ = 1.5418 Å (Cu Kα). Input: a crystal structure in Alexandria, relaxed with GGA-PBE.

Most intense lines, 10 to 80 degrees two-theta, by intensity:
2θ (°), Rel. int., (hkl)
35.95, 100, 1 3 2
42.83, 36, 2 0 0
35.73, 30, 1 0 3
30.26, 20, 1 3 0
38.66, 18, 1 2 3
34.69, 17, 0 4 2
37.24, 17, 1 4 1
43.81, 13, 0 6 0
44.80, 12, 1 1 4
70.22, 11, 1 7 4

Structural model:
abc: 4.223 12.400 9.382
angles: 90.00 90.00 90.00
Space group Pmmn (No. 59, origin choice 2)
Unique sites:
Ho: 0.250 0.052 0.249 [4 per cell]
Ho: 0.250 0.750 0.238 [2 per cell]
Ga: 0.250 0.073 0.906 [4 per cell]
Ga: 0.250 0.250 0.081 [2 per cell]
Ga: 0.250 0.250 0.453 [2 per cell]
Ga: 0.250 0.595 0.520 [4 per cell]
Rh: 0.250 0.098 0.634 [4 per cell]
Rh: 0.250 0.634 0.965 [4 per cell]
Rh: 0.250 0.750 0.710 [2 per cell]

---

# HoGaRh4
Simulated powder X-ray diffraction pattern, λ = 1.5418 Å (Cu Kα). Input: a crystal structure in Alexandria, relaxed with GGA-PBE.

Most intense lines, 10 to 80 degrees two-theta, by intensity:
2θ (°), Rel. int., (hkl)
40.51, 100, 3 1 1
42.40, 37, 2 2 2
65.70, 31, 5 1 1
34.35, 30, 2 2 0
72.39, 26, 4 4 0
61.51, 11, 4 2 2
20.83, 7, 1 1 1
24.10, 6, 2 0 0
49.36, 3, 4 0 0
55.66, 2, 4 2 0

Structural model:
abc: 7.385 7.385 7.385
angles: 90.00 90.00 90.00
Space group F-43m (No. 216)
Unique sites:
Ho: 0.000 0.000 0.000 [4 per cell]
Ga: 0.250 0.250 0.750 [4 per cell]
Rh: 0.124 0.124 0.376 [16 per cell]

---

# Ho4GaRh3
Simulated powder X-ray diffraction pattern, λ = 1.5418 Å (Cu Kα). Input: a crystal structure in Alexandria, relaxed with GGA-PBE.

Most intense lines, 10 to 80 degrees two-theta, by intensity:
2θ (°), Rel. int., (hkl)
36.59, 100, 1 1 2
37.30, 48, 2 0 0
66.81, 34, 3 1 2
65.40, 18, 2 0 4
53.78, 17, 2 2 0
77.78, 11, 2 2 4
51.63, 9, 0 0 4
26.14, 7, 1 1 0
79.53, 5, 4 0 0
25.15, 4, 0 0 2

Structural model:
abc: 4.821 4.821 7.082
angles: 90.00 90.00 90.00
Space group P4/mmm (No. 123)
Unique sites:
Ho: 0.000 0.500 0.241 [4 per cell]
Ga: 0.000 0.000 0.500 [1 per cell]
Rh: 0.000 0.000 0.000 [1 per cell]
Rh: 0.500 0.500 0.000 [1 per cell]
Rh: 0.500 0.500 0.500 [1 per cell]

---

# Ho2Ga5Ru2Rh
Simulated powder X-ray diffraction pattern, λ = 1.5418 Å (Cu Kα). Input: a crystal structure in Alexandria, relaxed with GGA-PBE.

Most intense lines, 10 to 80 degrees two-theta, by intensity:
2θ (°), Rel. int., (hkl)
39.23, 100, 3 1 1
35.27, 54, 4 1 0
42.07, 34, 3 2 1
36.32, 32, 3 3 0
37.23, 26, 2 2 1
61.11, 16, 6 1 1
26.87, 16, 3 1 0
52.28, 15, 6 0 0
57.96, 15, 0 0 2
69.70, 15, 4 1 2

Structural model:
abc: 10.493 10.493 3.182
angles: 90.00 90.00 90.00
Space group P4/mbm (No. 127)
Unique sites:
Ho: 0.182 0.318 0.000 [4 per cell]
Ga: 0.000 0.500 0.500 [2 per cell]
Ga: 0.054 0.809 0.500 [8 per cell]
Ru: 0.129 0.629 0.000 [4 per cell]
Rh: 0.000 0.000 0.000 [2 per cell]

---

# Ho4GaRu
Simulated powder X-ray diffraction pattern, λ = 1.5418 Å (Cu Kα). Input: a crystal structure in Alexandria, relaxed with GGA-PBE.

Most intense lines, 10 to 80 degrees two-theta, by intensity:
2θ (°), Rel. int., (hkl)
32.00, 100, 0 4 1
31.09, 93, 3 1 -1
37.29, 82, 2 2 1
36.17, 75, 1 5 0
34.50, 72, 2 4 -1
30.19, 52, 1 1 -2
25.28, 47, 1 1 1
36.01, 45, 1 3 -2
40.69, 39, 3 3 0
40.43, 32, 3 3 -2

Structural model:
abc: 8.845 13.098 6.154
angles: 90.00 119.17 90.00
Space group C2/c (No. 15)
Unique sites:
Ho: 0.119 0.176 0.085 [8 per cell]
Ho: 0.212 0.433 0.307 [8 per cell]
Ga: 0.000 0.369 0.750 [4 per cell]
Ru: 0.000 0.000 0.250 [4 per cell]

---

# Ho4Ga12Ru
Simulated powder X-ray diffraction pattern, λ = 1.5418 Å (Cu Kα). Input: a crystal structure in Alexandria, relaxed with GGA-PBE.

Most intense lines, 10 to 80 degrees two-theta, by intensity:
2θ (°), Rel. int., (hkl)
36.19, 100, 2 2 2
42.03, 64, 4 0 0
60.95, 38, 4 4 0
29.38, 34, 2 2 0
72.99, 31, 6 2 2
76.80, 12, 4 4 4
52.11, 10, 4 2 2
69.09, 9, 6 2 0
39.20, 9, 3 2 1
20.66, 9, 2 0 0

Structural model:
abc: 8.598 8.598 8.598
angles: 90.00 90.00 90.00
Space group Im-3m (No. 229)
Unique sites:
Ho: 0.250 0.250 0.250 [8 per cell]
Ga: 0.000 0.000 0.290 [12 per cell]
Ga: 0.000 0.250 0.500 [12 per cell]
Ru: 0.000 0.000 0.000 [2 per cell]

---

# Ho5GaRu
Simulated powder X-ray diffraction pattern, λ = 1.5418 Å (Cu Kα). Input: a crystal structure in Alexandria, relaxed with GGA-PBE.

Most intense lines, 10 to 80 degrees two-theta, by intensity:
2θ (°), Rel. int., (hkl)
31.36, 100, 1 1 3
32.89, 84, 2 0 -4
31.46, 54, 3 1 -1
31.82, 39, 2 2 0
34.67, 35, 0 2 3
38.51, 29, 1 3 0
54.49, 26, 3 3 2
25.80, 24, 0 2 1
41.03, 19, 0 2 4
32.67, 19, 3 1 0

Structural model:
abc: 9.271 7.269 11.539
angles: 90.00 106.70 90.00
Space group C2/c (No. 15)
Unique sites:
Ho: 0.000 0.014 0.250 [4 per cell]
Ho: 0.122 0.333 0.561 [8 per cell]
Ho: 0.245 0.334 0.873 [8 per cell]
Ga: 0.000 0.417 0.250 [4 per cell]
Ru: 0.000 0.000 0.000 [4 per cell]

---

# Ho4Ga3Ru
Simulated powder X-ray diffraction pattern, λ = 1.5418 Å (Cu Kα). Input: a crystal structure in Alexandria, relaxed with GGA-PBE.

Most intense lines, 10 to 80 degrees two-theta, by intensity:
2θ (°), Rel. int., (hkl)
35.99, 100, 1 0 4
36.34, 50, 1 1 0
65.15, 35, 2 1 4
52.33, 18, 2 0 0
64.47, 16, 1 1 8
25.48, 14, 1 0 0
76.32, 10, 2 0 8
51.28, 8, 0 0 8
24.99, 7, 0 0 4
44.61, 6, 1 1 4

Structural model:
abc: 3.496 3.496 14.252
angles: 90.00 90.00 90.00
Space group P4/mmm (No. 123)
Unique sites:
Ho: 0.000 0.000 0.114 [2 per cell]
Ho: 0.000 0.000 0.371 [2 per cell]
Ga: 0.500 0.500 0.244 [2 per cell]
Ga: 0.500 0.500 0.500 [1 per cell]
Ru: 0.500 0.500 0.000 [1 per cell]